No. 1
Starting from a DFT-relaxed cell (PBE, Alexandria), the X-ray powder pattern of Na7Ti13O26 was calculated for Cu Ka.
Lines closer than 0.1° are merged.

Atomic structure:
Lattice parameters (Å, degrees): 5.1540 10.7590 11.4099 65.09 86.18 81.04
Space group P-1 (No. 2)
Unique sites:
Na 0.0000 0.0000 0.0000 x1
Na 0.0841 0.6916 0.1547 x2
Na 0.1778 0.3865 0.3079 x2
Na 0.2326 0.0793 0.4610 x2
Ti 0.0000 0.5000 0.0000 x1
Ti 0.0724 0.1921 0.1570 x2
Ti 0.1639 0.8843 0.3118 x2
Ti 0.2295 0.5788 0.4735 x2
Ti 0.3128 0.2656 0.6250 x2
Ti 0.3813 0.9596 0.7729 x2
Ti 0.4664 0.6553 0.9241 x2
O 0.0012 0.2547 0.5248 x2
O 0.0687 0.9491 0.6768 x2
O 0.0711 0.4386 0.6271 x2
O 0.1409 0.6394 0.8386 x2
O 0.1526 0.1303 0.7819 x2
O 0.2180 0.3317 0.9923 x2
O 0.2323 0.8211 0.9373 x2
O 0.2912 0.0246 0.1479 x2
O 0.3115 0.5147 0.0883 x2
O 0.3654 0.7144 0.3029 x2
O 0.3908 0.2072 0.2434 x2
O 0.4437 0.4098 0.4573 x2
O 0.4755 0.9011 0.3971 x2

Top 10 peaks for 2θ = 5–70°, in order of rising 2θ:
2θ (°)	intensity	(hkl)
15.70	1000	0 1 2
31.71	92	0 2 4
35.01	96	1 3 -1
36.32	119	2 0 -1
40.75	539	-1 4 2
41.17	262	2 2 3
51.57	105	-1 5 4
56.18	69	1 6 5
61.90	70	0 6 -1
62.29	134	3 4 0

---

No. 2
Starting from a DFT-relaxed cell (PBE, Alexandria), the X-ray powder pattern of NaTi8O16 was calculated for Cu Ka.
Lines closer than 0.1° are merged.

Atomic structure:
Lattice parameters (Å, degrees): 10.3521 5.9784 10.7845 90.00 117.36 90.00
Space group Cm (No. 8)
Unique sites:
Na 0.0000 0.0000 0.0000 x2
Ti 0.1933 0.5000 0.9084 x2
Ti 0.1981 0.5000 0.4109 x2
Ti 0.2024 0.0000 0.4163 x2
Ti 0.2377 0.0000 0.9168 x2
Ti 0.3476 0.2518 0.2003 x4
Ti 0.3574 0.2538 0.6889 x4
O 0.0701 0.2430 0.8379 x4
O 0.1700 0.2488 0.5146 x4
O 0.2107 0.5000 0.0976 x2
O 0.2248 0.0000 0.1059 x2
O 0.2680 0.2528 0.3319 x4
O 0.2938 0.5000 0.7793 x2
O 0.2982 0.0000 0.7778 x2
O 0.3500 0.2525 0.0117 x4
O 0.3937 0.5000 0.5958 x2
O 0.3945 0.0000 0.5964 x2
O 0.4940 0.0000 0.2811 x2
O 0.4949 0.5000 0.2736 x2

Top 10 peaks for 2θ = 5–70°, in order of rising 2θ:
2θ (°)	intensity	(hkl)
19.31	956	2 0 0
19.69	1000	2 0 -2
32.62	345	2 0 2
33.31	324	2 0 -4
35.40	374	0 2 2
35.83	257	2 2 0
36.05	243	2 2 -2
50.06	325	4 2 0
50.71	331	4 2 -4
60.44	231	2 2 -6

---

No. 3
Starting from a DFT-relaxed cell (PBE, Alexandria), the X-ray powder pattern of NaTi2O4 was calculated for Cu Ka.
Lines closer than 0.1° are merged.

Atomic structure:
Lattice parameters (Å, degrees): 3.3851 4.0910 12.5983 90.00 90.00 90.00
Space group Imm2 (No. 44)
Unique sites:
Na 0.0000 0.0000 0.0000 x2
Ti 0.0000 0.0000 0.6549 x2
Ti 0.0000 0.5000 0.8094 x2
O 0.0000 0.0000 0.3768 x2
O 0.0000 0.0000 0.8062 x2
O 0.0000 0.5000 0.0881 x2
O 0.0000 0.5000 0.6556 x2

Top 10 peaks for 2θ = 5–70°, in order of rising 2θ:
2θ (°)	intensity	(hkl)
14.06	545	0 0 2
27.28	1000	1 0 1
30.51	803	0 1 3
43.08	223	0 0 6
44.28	462	0 2 0
44.84	288	1 0 5
45.14	232	1 1 4
52.79	268	1 2 1
54.19	229	2 0 0
63.48	297	0 2 6

---

No. 4
Starting from a DFT-relaxed cell (PBE, Alexandria), the X-ray powder pattern of NaTi4O8 was calculated for Cu Ka.
Lines closer than 0.1° are merged.

Atomic structure:
Lattice parameters (Å, degrees): 5.9415 11.2734 11.3376 90.00 121.52 90.00
Space group P2_1/c (No. 14)
Unique sites:
Na 0.2224 0.1071 0.0784 x4
Ti 0.1159 0.6638 0.7430 x4
Ti 0.1426 0.6244 0.0175 x4
Ti 0.3602 0.1243 0.4836 x4
Ti 0.3949 0.1523 0.7713 x4
O 0.0061 0.1968 0.3802 x4
O 0.0187 0.2294 0.6378 x4
O 0.2244 0.0925 0.8556 x4
O 0.2261 0.0391 0.6016 x4
O 0.2640 0.5888 0.6458 x4
O 0.2749 0.5408 0.9011 x4
O 0.4903 0.7290 0.8623 x4
O 0.5005 0.1935 0.3744 x4

Top 10 peaks for 2θ = 5–70°, in order of rising 2θ:
2θ (°)	intensity	(hkl)
12.06	1000	0 1 1
18.22	716	0 2 1
28.82	169	0 1 3
31.75	219	0 4 0
32.00	281	0 2 3
35.40	198	2 2 -3
36.38	400	2 1 0
39.01	253	2 2 0
48.19	182	2 3 1
54.51	201	2 5 0

---

No. 5
Starting from a DFT-relaxed cell (PBE, Alexandria), the X-ray powder pattern of NaTi5O8 was calculated for Cu Ka.
Lines closer than 0.1° are merged.

Atomic structure:
Lattice parameters (Å, degrees): 15.3741 2.9965 7.2960 90.00 106.41 90.00
Space group Cm (No. 8)
Unique sites:
Na 0.0000 0.0000 0.0000 x2
Ti 0.0003 0.5000 0.4997 x2
Ti 0.1577 0.0000 0.4544 x2
Ti 0.2044 0.0000 0.8342 x2
Ti 0.2961 0.5000 0.1652 x2
Ti 0.3429 0.5000 0.5449 x2
O 0.0792 0.5000 0.3081 x2
O 0.0796 0.0000 0.6406 x2
O 0.1711 0.5000 0.9822 x2
O 0.2318 0.5000 0.6501 x2
O 0.2687 0.0000 0.3492 x2
O 0.3295 0.0000 0.0171 x2
O 0.4213 0.0000 0.6913 x2
O 0.4210 0.5000 0.3587 x2

Top 10 peaks for 2θ = 5–70°, in order of rising 2θ:
2θ (°)	intensity	(hkl)
12.00	551	2 0 0
12.65	1000	0 0 1
14.79	465	2 0 -1
23.89	385	4 0 -1
31.23	251	2 0 2
35.08	563	3 1 0
35.54	300	3 1 -1
39.23	422	3 1 1
48.81	434	3 1 -3
62.66	396	9 1 -1

---

No. 6
Starting from a DFT-relaxed cell (PBE, Alexandria), the X-ray powder pattern of Na3Ti6O13 was calculated for Cu Ka.
Lines closer than 0.1° are merged.

Atomic structure:
Lattice parameters (Å, degrees): 14.9618 3.7802 9.5651 90.00 101.69 90.00
Space group C2/m (No. 12)
Unique sites:
Na 0.0000 0.0000 0.0000 x2
Na 0.0358 0.0000 0.3322 x4
Ti 0.1233 0.5000 0.5903 x4
Ti 0.1669 0.5000 0.9235 x4
Ti 0.2176 0.5000 0.2571 x4
O 0.0000 0.5000 0.5000 x2
O 0.0675 0.5000 0.7827 x4
O 0.1177 0.5000 0.0896 x4
O 0.1485 0.0000 0.6118 x4
O 0.1552 0.5000 0.3976 x4
O 0.2021 0.0000 0.9229 x4
O 0.2476 0.5000 0.7510 x4

Top 10 peaks for 2θ = 5–70°, in order of rising 2θ:
2θ (°)	intensity	(hkl)
12.08	940	2 0 0
13.75	683	2 0 -1
24.31	522	1 1 0
29.89	1000	3 1 0
30.23	422	3 1 -1
36.87	373	1 1 -3
41.34	570	4 0 -4
45.22	365	6 0 2
48.14	675	0 2 0
58.20	313	7 1 -4

---

No. 7
Starting from a DFT-relaxed cell (PBE, Alexandria), the X-ray powder pattern of Na2TiO3 was calculated for Cu Ka.
Lines closer than 0.1° are merged.

Atomic structure:
Lattice parameters (Å, degrees): 9.4582 6.1548 5.3852 90.00 90.00 90.00
Space group Cmc2_1 (No. 36)
Unique sites:
Na 0.1650 0.1314 0.0000 x8
Ti 0.0000 0.4048 0.4615 x4
O 0.0000 0.1303 0.3656 x4
O 0.1356 0.4567 0.7364 x8

Top 10 peaks for 2θ = 5–70°, in order of rising 2θ:
2θ (°)	intensity	(hkl)
17.19	727	1 1 0
18.76	375	2 0 0
23.89	223	1 1 1
33.27	249	0 0 2
33.54	823	0 2 1
36.09	1000	3 1 1
46.76	756	3 1 2
56.15	354	3 3 1
59.63	177	0 2 3
69.20	158	6 2 1

---

No. 8
Starting from a DFT-relaxed cell (PBE, Alexandria), the X-ray powder pattern of Na2Ti6O13 was calculated for Cu Ka.
Lines closer than 0.1° are merged.

Atomic structure:
Lattice parameters (Å, degrees): 15.2706 3.7612 9.2896 90.00 99.05 90.00
Space group C2/m (No. 12)
Unique sites:
Na 0.0374 0.0000 0.2305 x4
Ti 0.1148 0.5000 0.5953 x4
Ti 0.1659 0.5000 0.9356 x4
Ti 0.2269 0.5000 0.2696 x4
O 0.0000 0.5000 0.5000 x2
O 0.0702 0.5000 0.7918 x4
O 0.1264 0.5000 0.1137 x4
O 0.1441 0.0000 0.6173 x4
O 0.1624 0.5000 0.4123 x4
O 0.2024 0.0000 0.9289 x4
O 0.2409 0.5000 0.7457 x4

Top 10 peaks for 2θ = 5–70°, in order of rising 2θ:
2θ (°)	intensity	(hkl)
11.74	1000	2 0 0
13.98	500	2 0 -1
24.39	429	1 1 0
29.71	973	2 0 -3
30.35	391	3 1 -1
33.04	412	4 0 2
42.81	325	4 0 -4
43.70	242	6 0 2
48.40	380	0 2 0
55.56	232	7 1 2

---

Which formula does entry 3 have?
NaTi2O4